For TbYTm4S8, the GGA-PBE geometry in Alexandria gives the calculated X-ray diffraction stick pattern in this record (Cu Kα X-rays).

Atomic structure:
```
data_TbYTm4S8
_chemical_formula_sum 'Tb3 Y3 Tm12 S24'
_space_group_name_H-M_alt 'R 3 m'
_space_group_IT_number 160
_space_group_name_Hall 'R 3 -2"'
_cell_length_a 7.9673
_cell_length_b 7.9673
_cell_length_c 19.5946
_cell_angle_alpha 90.00
_cell_angle_beta 90.00
_cell_angle_gamma 120.00
loop_
_atom_site_label
_atom_site_type_symbol
_atom_site_fract_x
_atom_site_fract_y
_atom_site_fract_z
_atom_site_occupancy
Tb1 Tb 0.0000 0.0000 0.0000 1
Y1 Y 0.0000 0.0000 0.3745 1
Tm1 Tm 0.0000 0.0000 0.7488 1
Tm2 Tm 0.1671 0.3342 0.2075 1
S1 S 0.0000 0.0000 0.1343 1
S2 S 0.0000 0.0000 0.6165 1
S3 S 0.0162 0.5081 0.1282 1
S4 S 0.1773 0.3546 0.9530 1
```

Principal peaks in the range 2θ from 10° to 80°, sorted by position:
22.3 deg, I 30.7
26.2 deg, I 100.0
27.4 deg, I 11.3
31.7 deg, I 15.8
39.1 deg, I 12.0
41.5 deg, I 16.3
41.6 deg, I 27.2
45.4 deg, I 27.8
45.5 deg, I 27.8
63.3 deg, I 11.8

---

For PrUGa4, the GGA-PBE geometry in Alexandria gives the calculated X-ray diffraction stick pattern in this record (Cu Kα X-rays).

Atomic structure:
```
data_PrUGa4
_chemical_formula_sum 'Pr4 U4 Ga16'
_space_group_name_H-M_alt 'F -4 3 m'
_space_group_IT_number 216
_space_group_name_Hall 'F -4 2 3'
_cell_length_a 7.9109
_cell_length_b 7.9109
_cell_length_c 7.9109
_cell_angle_alpha 90.00
_cell_angle_beta 90.00
_cell_angle_gamma 90.00
loop_
_atom_site_label
_atom_site_type_symbol
_atom_site_fract_x
_atom_site_fract_y
_atom_site_fract_z
_atom_site_occupancy
Pr1 Pr 0.0000 0.0000 0.0000 1
U1 U 0.2500 0.2500 0.7500 1
Ga1 Ga 0.1245 0.1245 0.3755 1
```

Principal peaks in the range 2θ from 10° to 80°, sorted by position:
19.4 deg, I 16.3
32.0 deg, I 62.0
37.7 deg, I 100.0
39.5 deg, I 16.2
50.3 deg, I 4.5
57.0 deg, I 24.6
60.8 deg, I 33.1
66.9 deg, I 23.9
76.1 deg, I 10.9
79.4 deg, I 11.7

---

For Er6Tl3Ni, the GGA-PBE geometry in Alexandria gives the calculated X-ray diffraction stick pattern in this record (Cu Kα X-rays).

Atomic structure:
```
data_Er6Tl3Ni
_chemical_formula_sum 'Er12 Tl6 Ni2'
_space_group_name_H-M_alt 'C 1 2/m 1'
_space_group_IT_number 12
_cell_length_a 11.2274
_cell_length_b 6.9863
_cell_length_c 7.3870
_cell_angle_alpha 90.00
_cell_angle_beta 103.11
_cell_angle_gamma 90.00
loop_
_space_group_symop_operation_xyz
'x,y,z'
'-x,-y,-z'
'-x,y,-z'
'x,-y,z'
'x+1/2,y+1/2,z'
'-x+1/2,-y+1/2,-z'
'-x+1/2,y+1/2,-z'
'x+1/2,-y+1/2,z'
loop_
_atom_site_label
_atom_site_type_symbol
_atom_site_fract_x
_atom_site_fract_y
_atom_site_fract_z
_atom_site_occupancy
Er1 Er 0.1072 0.2499 0.3417 1
Er2 Er 0.1679 0.0000 0.8548 1
Tl1 Tl 0.0000 0.5000 0.0000 1
Tl2 Tl 0.1708 0.5000 0.7235 1
Ni1 Ni 0.0000 0.0000 0.5000 1
```

Principal peaks in the range 2θ from 10° to 80°, sorted by position:
27.9 deg, I 34.5
28.4 deg, I 42.1
31.4 deg, I 73.9
32.3 deg, I 56.7
32.8 deg, I 69.0
34.3 deg, I 100.0
37.0 deg, I 52.5
38.8 deg, I 40.0
57.0 deg, I 30.8
62.9 deg, I 30.0

---

For Sm4TlO, the GGA-PBE geometry in Alexandria gives the calculated X-ray diffraction stick pattern in this record (Cu Kα X-rays).

Atomic structure:
```
data_Sm4TlO
_chemical_formula_sum 'Sm8 Tl2 O2'
_space_group_name_H-M_alt 'P -1'
_space_group_IT_number 2
_cell_length_a 5.7549
_cell_length_b 7.2633
_cell_length_c 8.4599
_cell_angle_alpha 74.03
_cell_angle_beta 70.14
_cell_angle_gamma 89.99
loop_
_space_group_symop_operation_xyz
'x,y,z'
'-x,-y,-z'
loop_
_atom_site_label
_atom_site_type_symbol
_atom_site_fract_x
_atom_site_fract_y
_atom_site_fract_z
_atom_site_occupancy
Sm1 Sm 0.0964 0.4218 0.2839 1
Sm2 Sm 0.1198 0.9215 0.2841 1
Sm3 Sm 0.2946 0.7970 0.8867 1
Sm4 Sm 0.3184 0.2967 0.8871 1
Tl1 Tl 0.4844 0.2504 0.5001 1
O1 O 0.0000 0.5000 0.0000 1
O2 O 0.5000 0.0000 0.0000 1
```

Principal peaks in the range 2θ from 10° to 80°, sorted by position:
29.3 deg, I 46.4
31.1 deg, I 58.3
32.1 deg, I 95.0
33.3 deg, I 100.0
36.6 deg, I 18.1
43.2 deg, I 35.0
50.4 deg, I 19.6
55.9 deg, I 18.7
56.7 deg, I 21.2
60.4 deg, I 20.3

---

For Pm3Al2GaPd9, the GGA-PBE geometry in Alexandria gives the calculated X-ray diffraction stick pattern in this record (Cu Kα X-rays).

Atomic structure:
```
data_Pm3Al2GaPd9
_chemical_formula_sum 'Pm3 Al2 Ga1 Pd9'
_space_group_name_H-M_alt 'P -3 m 1'
_space_group_IT_number 164
_space_group_name_Hall '-P 3 2"'
_cell_length_a 5.7517
_cell_length_b 5.7517
_cell_length_c 11.0831
_cell_angle_alpha 90.00
_cell_angle_beta 90.00
_cell_angle_gamma 120.00
loop_
_atom_site_label
_atom_site_type_symbol
_atom_site_fract_x
_atom_site_fract_y
_atom_site_fract_z
_atom_site_occupancy
Pm1 Pm 0.0000 0.0000 0.0000 1
Pm2 Pm 0.3333 0.6667 0.7393 1
Al1 Al 0.3333 0.6667 0.1679 1
Ga1 Ga 0.0000 0.0000 0.5000 1
Pd1 Pd 0.0000 0.5000 0.0000 1
Pd2 Pd 0.1658 0.3316 0.3306 1
```

Principal peaks in the range 2θ from 10° to 80°, sorted by position:
24.1 deg, I 78.3
37.0 deg, I 86.2
39.7 deg, I 100.0
44.8 deg, I 11.9
45.5 deg, I 13.0
49.2 deg, I 32.4
55.5 deg, I 13.6
64.8 deg, I 24.2
70.2 deg, I 19.3
78.8 deg, I 12.4

---

For HoSi4Ni4, the GGA-PBE geometry in Alexandria gives the calculated X-ray diffraction stick pattern in this record (Cu Kα X-rays).

Atomic structure:
```
data_HoSi4Ni4
_chemical_formula_sum 'Ho2 Si8 Ni8'
_space_group_name_H-M_alt 'P 42/n m c'
_space_group_IT_number 137
_cell_length_a 5.6279
_cell_length_b 5.6279
_cell_length_c 7.7888
_cell_angle_alpha 90.00
_cell_angle_beta 90.00
_cell_angle_gamma 90.00
loop_
_space_group_symop_operation_xyz
'x,y,z'
'-x,-y,-z'
'-y+1/2,x,z+1/2'
'y+1/2,-x,-z+1/2'
'-x+1/2,-y+1/2,z'
'x+1/2,y+1/2,-z'
'y,-x+1/2,z+1/2'
'-y,x+1/2,-z+1/2'
'x+1/2,-y,-z'
'-x+1/2,y,z'
'-y,-x,-z+1/2'
'y,x,z+1/2'
'-x,y+1/2,-z'
'x,-y+1/2,z'
'y+1/2,x+1/2,-z+1/2'
'-y+1/2,-x+1/2,z+1/2'
loop_
_atom_site_label
_atom_site_type_symbol
_atom_site_fract_x
_atom_site_fract_y
_atom_site_fract_z
_atom_site_occupancy
Ho1 Ho 0.2500 0.7500 0.2500 1
Si1 Si 0.0388 0.2500 0.0692 1
Ni1 Ni 0.0235 0.2500 0.3637 1
```

Principal peaks in the range 2θ from 10° to 80°, sorted by position:
31.8 deg, I 13.4
32.2 deg, I 26.1
37.6 deg, I 100.0
38.2 deg, I 37.5
39.5 deg, I 12.4
47.7 deg, I 16.2
60.5 deg, I 13.3
60.9 deg, I 16.6
66.5 deg, I 11.9
67.3 deg, I 16.7

---

For Li2Hg2Pd7, the GGA-PBE geometry in Alexandria gives the calculated X-ray diffraction stick pattern in this record (Cu Kα X-rays).

Atomic structure:
```
data_Li2Hg2Pd7
_chemical_formula_sum 'Li4 Hg4 Pd14'
_space_group_name_H-M_alt 'C 1 2/m 1'
_space_group_IT_number 12
_cell_length_a 8.2396
_cell_length_b 9.3488
_cell_length_c 5.0925
_cell_angle_alpha 90.00
_cell_angle_beta 111.78
_cell_angle_gamma 90.00
loop_
_space_group_symop_operation_xyz
'x,y,z'
'-x,-y,-z'
'-x,y,-z'
'x,-y,z'
'x+1/2,y+1/2,z'
'-x+1/2,-y+1/2,-z'
'-x+1/2,y+1/2,-z'
'x+1/2,-y+1/2,z'
loop_
_atom_site_label
_atom_site_type_symbol
_atom_site_fract_x
_atom_site_fract_y
_atom_site_fract_z
_atom_site_occupancy
Li1 Li 0.0000 0.2413 0.0000 1
Hg1 Hg 0.2258 0.5000 0.0557 1
Pd1 Pd 0.0000 0.5000 0.5000 1
Pd2 Pd 0.1101 0.0000 0.3438 1
Pd3 Pd 0.1713 0.2555 0.6856 1
```

Principal peaks in the range 2θ from 10° to 80°, sorted by position:
23.3 deg, I 33.7
23.9 deg, I 37.5
26.8 deg, I 20.9
34.5 deg, I 43.2
36.7 deg, I 36.6
38.5 deg, I 58.9
40.3 deg, I 100.0
41.5 deg, I 40.1
42.9 deg, I 24.8
44.4 deg, I 23.4

---

For Ac2NdAl3Au12, the GGA-PBE geometry in Alexandria gives the calculated X-ray diffraction stick pattern in this record (Cu Kα X-rays).

Atomic structure:
```
data_Ac2NdAl3Au12
_chemical_formula_sum 'Ac6 Nd3 Al9 Au36'
_space_group_name_H-M_alt 'R -3 m'
_space_group_IT_number 166
_space_group_name_Hall '-R 3 2"'
_cell_length_a 9.0940
_cell_length_b 9.0940
_cell_length_c 19.0602
_cell_angle_alpha 90.00
_cell_angle_beta 90.00
_cell_angle_gamma 120.00
loop_
_atom_site_label
_atom_site_type_symbol
_atom_site_fract_x
_atom_site_fract_y
_atom_site_fract_z
_atom_site_occupancy
Ac1 Ac 0.0000 0.0000 0.0999 1
Nd1 Nd 0.0000 0.0000 0.5000 1
Al1 Al 0.0000 0.5000 0.0000 1
Au1 Au 0.0245 0.5123 0.3187 1
Au2 Au 0.0307 0.5154 0.8676 1
```

Principal peaks in the range 2θ from 10° to 80°, sorted by position:
23.1 deg, I 16.8
29.4 deg, I 56.3
31.5 deg, I 47.3
32.7 deg, I 89.4
34.4 deg, I 15.8
39.6 deg, I 100.0
49.3 deg, I 16.2
52.3 deg, I 21.6
58.2 deg, I 15.9
67.6 deg, I 17.1

---

For Er2Ti3Si4, the GGA-PBE geometry in Alexandria gives the calculated X-ray diffraction stick pattern in this record (Cu Kα X-rays).

Atomic structure:
```
data_Er2Ti3Si4
_chemical_formula_sum 'Er8 Ti12 Si16'
_space_group_name_H-M_alt 'P 41 21 2'
_space_group_IT_number 92
_cell_length_a 7.0178
_cell_length_b 7.0178
_cell_length_c 12.8959
_cell_angle_alpha 90.00
_cell_angle_beta 90.00
_cell_angle_gamma 90.00
loop_
_space_group_symop_operation_xyz
'x,y,z'
'-y+1/2,x+1/2,z+1/4'
'-x,-y,z+1/2'
'y+1/2,-x+1/2,z+3/4'
'x+1/2,-y+1/2,-z+3/4'
'-y,-x,-z+1/2'
'-x+1/2,y+1/2,-z+1/4'
'y,x,-z'
loop_
_atom_site_label
_atom_site_type_symbol
_atom_site_fract_x
_atom_site_fract_y
_atom_site_fract_z
_atom_site_occupancy
Er1 Er 0.0024 0.3404 0.0334 1
Ti1 Ti 0.0070 0.1518 0.6237 1
Ti2 Ti 0.1726 0.8274 0.7500 1
Si1 Si 0.0462 0.7079 0.9352 1
Si2 Si 0.1319 0.2028 0.8161 1
```

Principal peaks in the range 2θ from 10° to 80°, sorted by position:
17.9 deg, I 27.1
19.2 deg, I 42.7
29.3 deg, I 30.7
30.5 deg, I 32.3
31.7 deg, I 42.6
35.4 deg, I 100.0
36.9 deg, I 66.6
39.4 deg, I 63.0
41.0 deg, I 85.9
59.9 deg, I 31.3

---

For BaCaAg4O8, the GGA-PBE geometry in Alexandria gives the calculated X-ray diffraction stick pattern in this record (Cu Kα X-rays).

Atomic structure:
```
data_BaCaAg4O8
_chemical_formula_sum 'Ba1 Ca1 Ag4 O8'
_space_group_name_H-M_alt 'P -3 1 m'
_space_group_IT_number 162
_space_group_name_Hall '-P 3 2'
_cell_length_a 5.8628
_cell_length_b 5.8628
_cell_length_c 7.7741
_cell_angle_alpha 90.00
_cell_angle_beta 90.00
_cell_angle_gamma 120.00
loop_
_atom_site_label
_atom_site_type_symbol
_atom_site_fract_x
_atom_site_fract_y
_atom_site_fract_z
_atom_site_occupancy
Ba1 Ba 0.0000 0.0000 0.0000 1
Ca1 Ca 0.0000 0.0000 0.5000 1
Ag1 Ag 0.3333 0.6667 0.2634 1
O1 O 0.0000 0.2936 0.2943 1
O2 O 0.3333 0.6667 0.0000 1
```

Principal peaks in the range 2θ from 10° to 80°, sorted by position:
22.9 deg, I 19.6
28.9 deg, I 82.0
30.5 deg, I 100.0
38.5 deg, I 11.8
42.5 deg, I 33.5
46.8 deg, I 18.7
53.2 deg, I 32.4
54.2 deg, I 26.1
56.8 deg, I 32.3
74.3 deg, I 17.8

---

For AcAg3F12, the GGA-PBE geometry in Alexandria gives the calculated X-ray diffraction stick pattern in this record (Cu Kα X-rays).

Atomic structure:
```
data_AcAg3F12
_chemical_formula_sum 'Ac6 Ag18 F72'
_space_group_name_H-M_alt 'R 3 c'
_space_group_IT_number 161
_space_group_name_Hall 'R 3 -2"c'
_cell_length_a 10.3924
_cell_length_b 10.3924
_cell_length_c 15.5988
_cell_angle_alpha 90.00
_cell_angle_beta 90.00
_cell_angle_gamma 120.00
loop_
_atom_site_label
_atom_site_type_symbol
_atom_site_fract_x
_atom_site_fract_y
_atom_site_fract_z
_atom_site_occupancy
Ac1 Ac 0.0000 0.0000 0.0000 1
Ag1 Ag 0.0003 0.3586 0.4938 1
F1 F 0.0434 0.5202 0.6663 1
F2 F 0.0784 0.1786 0.8415 1
F3 F 0.1769 0.0767 0.1456 1
F4 F 0.1881 0.3781 0.6552 1
```

Principal peaks in the range 2θ from 10° to 80°, sorted by position:
15.0 deg, I 66.9
22.8 deg, I 44.1
24.2 deg, I 100.0
28.6 deg, I 26.0
29.8 deg, I 66.7
34.5 deg, I 50.6
45.4 deg, I 31.7
46.2 deg, I 42.8
50.0 deg, I 24.9
64.7 deg, I 26.8

---

For IrSN, the GGA-PBE geometry in Alexandria gives the calculated X-ray diffraction stick pattern in this record (Cu Kα X-rays).

Atomic structure:
```
data_IrSN
_chemical_formula_sum 'Ir3 S3 N3'
_space_group_name_H-M_alt 'R 3 m'
_space_group_IT_number 160
_space_group_name_Hall 'R 3 -2"'
_cell_length_a 3.4932
_cell_length_b 3.4932
_cell_length_c 11.0227
_cell_angle_alpha 90.00
_cell_angle_beta 90.00
_cell_angle_gamma 120.00
loop_
_atom_site_label
_atom_site_type_symbol
_atom_site_fract_x
_atom_site_fract_y
_atom_site_fract_z
_atom_site_occupancy
Ir1 Ir 0.0000 0.0000 0.0000 1
S1 S 0.0000 0.0000 0.4280 1
N1 N 0.0000 0.0000 0.5776 1
```

Principal peaks in the range 2θ from 10° to 80°, sorted by position:
24.2 deg, I 53.5
30.6 deg, I 58.0
33.8 deg, I 100.0
44.5 deg, I 31.6
51.3 deg, I 31.3
52.4 deg, I 33.0
58.5 deg, I 29.7
63.8 deg, I 15.7
67.0 deg, I 15.5
75.0 deg, I 10.2